No. 1
Simulated PXRD pattern of SmEr4Se5 for CuKα, from a cell relaxed with PBE.
Neutral-atom scattering factors, no anomalous dispersion.

Top 10 peaks for 15° ≤ 2θ ≤ 90°, low angle first:
2theta, I (rel.), index
26.86, 33, 0 1 5
31.08, 100, 1 0 5
31.19, 50, 0 2 0
44.44, 18, 0 0 10
44.61, 92, 2 0 0
55.29, 19, 0 2 10
55.44, 19, 2 2 0
73.69, 25, 3 0 5
73.84, 17, 1 4 5
82.25, 19, 2 4 0

Structure:
```
data_SmEr4Se5
_chemical_formula_sum 'Sm2 Er8 Se10'
_cell_length_a 4.0613
_cell_length_b 5.7359
_cell_length_c 20.3850
_cell_angle_alpha 90.00
_cell_angle_beta 90.00
_cell_angle_gamma 90.00
_space_group_name_H-M_alt 'I m m m'
_space_group_IT_number 71
_space_group_name_Hall '-I 2 2'
loop_
_atom_site_label
_atom_site_type_symbol
_atom_site_fract_x
_atom_site_fract_y
_atom_site_fract_z
Sm1 Sm 0.0000 0.0000 0.0000
Er1 Er 0.0000 0.0000 0.2022
Er2 Er 0.0000 0.0000 0.4010
Se1 Se 0.0000 0.5000 0.0000
Se2 Se 0.0000 0.5000 0.1987
Se3 Se 0.0000 0.5000 0.3953
```

***

No. 2
Simulated PXRD pattern of Sm2Er2Se5 for CuKα, from a cell relaxed with PBE.
Neutral-atom scattering factors, no anomalous dispersion.

Top 10 peaks for 15° ≤ 2θ ≤ 90°, low angle first:
2theta, I (rel.), index
26.13, 51, 2 0 2
28.60, 54, 2 2 1
31.77, 100, 3 1 2
32.93, 48, 0 2 2
34.60, 37, 5 1 1
35.67, 85, 4 2 1
37.41, 68, 1 3 1
37.52, 69, 1 1 3
48.51, 70, 5 1 3
68.26, 45, 7 3 3

Structure:
```
data_Sm2Er2Se5
_chemical_formula_sum 'Sm8 Er8 Se20'
_cell_length_a 14.7450
_cell_length_b 7.7082
_cell_length_c 7.6790
_cell_angle_alpha 90.00
_cell_angle_beta 90.00
_cell_angle_gamma 90.00
_space_group_name_H-M_alt 'C m c e'
_space_group_IT_number 64
_space_group_name_Hall '-C 2ac 2'
loop_
_atom_site_label
_atom_site_type_symbol
_atom_site_fract_x
_atom_site_fract_y
_atom_site_fract_z
Sm1 Sm 0.1977 0.0000 0.0000
Er1 Er 0.0000 0.1508 0.3439
Se1 Se 0.0000 0.0000 0.0000
Se2 Se 0.1359 0.1589 0.6548
```

***

No. 3
Simulated PXRD pattern of TbSm2ErSe6 for CuKα, from a cell relaxed with PBE.
Neutral-atom scattering factors, no anomalous dispersion.

Top 10 peaks for 15° ≤ 2θ ≤ 90°, low angle first:
2theta, I (rel.), index
16.72, 43, 0 1 2
23.02, 60, 1 0 4
24.42, 41, 1 1 0
28.06, 61, 1 1 3
33.81, 41, 0 2 4
37.02, 100, 1 1 6
42.15, 37, 2 1 4
42.99, 65, 3 0 0
48.80, 32, 1 0 10
58.00, 25, 4 -2 6

Structure:
```
data_TbSm2ErSe6
_chemical_formula_sum 'Tb3 Sm6 Er3 Se18'
_cell_length_a 7.2888
_cell_length_b 7.2888
_cell_length_c 19.5393
_cell_angle_alpha 90.00
_cell_angle_beta 90.00
_cell_angle_gamma 120.00
_space_group_name_H-M_alt 'R 3'
_space_group_IT_number 146
_space_group_name_Hall 'R 3'
loop_
_atom_site_label
_atom_site_type_symbol
_atom_site_fract_x
_atom_site_fract_y
_atom_site_fract_z
Tb1 Tb 0.0000 0.0000 0.0000
Sm1 Sm 0.0000 0.0000 0.3007
Sm2 Sm 0.0000 0.0000 0.8013
Er1 Er 0.0000 0.0000 0.4991
Se1 Se 0.0364 0.6813 0.5697
Se2 Se 0.0379 0.3600 0.0704
```

***

Please write out number 1 again, unchanged.
Simulated PXRD pattern of SmEr4Se5 for CuKα, from a cell relaxed with PBE.
Neutral-atom scattering factors, no anomalous dispersion.

Top 10 peaks for 15° ≤ 2θ ≤ 90°, low angle first:
2theta, I (rel.), index
26.86, 33, 0 1 5
31.08, 100, 1 0 5
31.19, 50, 0 2 0
44.44, 18, 0 0 10
44.61, 92, 2 0 0
55.29, 19, 0 2 10
55.44, 19, 2 2 0
73.69, 25, 3 0 5
73.84, 17, 1 4 5
82.25, 19, 2 4 0

Structure:
```
data_SmEr4Se5
_chemical_formula_sum 'Sm2 Er8 Se10'
_cell_length_a 4.0613
_cell_length_b 5.7359
_cell_length_c 20.3850
_cell_angle_alpha 90.00
_cell_angle_beta 90.00
_cell_angle_gamma 90.00
_space_group_name_H-M_alt 'I m m m'
_space_group_IT_number 71
_space_group_name_Hall '-I 2 2'
loop_
_atom_site_label
_atom_site_type_symbol
_atom_site_fract_x
_atom_site_fract_y
_atom_site_fract_z
Sm1 Sm 0.0000 0.0000 0.0000
Er1 Er 0.0000 0.0000 0.2022
Er2 Er 0.0000 0.0000 0.4010
Se1 Se 0.0000 0.5000 0.0000
Se2 Se 0.0000 0.5000 0.1987
Se3 Se 0.0000 0.5000 0.3953
```